Structure and computed powder diffractogram of NbPHO5 (a crystal structure in the Materials Project, relaxed with PBE; Cu Kα, 1.54184 Å).
Intensities are scaled so that the largest is 100.

Crystal structure
```
data_NbPHO5
_cell_length_a 5.3673
_cell_length_b 5.4509
_cell_length_c 7.7012
_cell_angle_alpha 109.70
_cell_angle_beta 105.63
_cell_angle_gamma 97.42
_space_group_name_H-M_alt 'P -1'
_space_group_IT_number 2
loop_
_space_group_symop_operation_xyz
'x,y,z'
'-x,-y,-z'
loop_
_atom_site_label
_atom_site_fract_x
_atom_site_fract_y
_atom_site_fract_z
Nb1 0.0000 0.0000 0.0000
Nb2 0.5000 0.5000 0.5000
P1 0.0563 0.3765 0.7282
H1 0.4709 0.8109 0.8339
O1 0.1178 0.1934 0.8410
O2 0.1544 0.6760 0.8757
O3 0.2009 0.3297 0.5769
O4 0.2491 0.6893 0.3782
O5 0.3791 0.1873 0.2184
```

Top 10 peaks for 10° ≤ 2θ ≤ 90°, low angle first:
2θ (°), d (Å), intensity, h k l
17.49, 5.072, 99, 0 1 -1
18.10, 4.901, 87, 1 0 -1
21.89, 4.060, 54, 1 -1 0
25.30, 3.521, 88, 1 0 1
25.93, 3.437, 100, 0 1 1
26.07, 3.418, 29, -1 1 1
28.27, 3.157, 79, 1 1 -2
33.50, 2.675, 28, 1 -1 2
35.63, 2.520, 32, 1 -2 1
53.85, 1.702, 29, 2 0 -4